Diffraction record for Pr2TeS5. The PXRD pattern is calculated, not measured: it uses a GGA-PBE-relaxed structure and Cu Kα (λ = 1.5418 Å).
Lines closer than 0.1° are merged.

Most intense lines, 2θ = 10–90°, low angle first:
2θ (°)	intensity
12.69	59
17.49	97
23.80	100
25.19	47
26.72	49
32.68	58
32.90	49
41.02	47
41.70	64
47.06	40

a = 7.4874 Å, b = 7.4874 Å, c = 13.2858 Å
α = 90.00°, β = 90.00°, γ = 137.36°
Element x y z (fractional)
Pr  0.1574  0.8426  0.5694
Pr  0.1574  0.8426  0.9306
Pr  0.8426  0.1574  0.0694
Pr  0.8426  0.1574  0.4306
Te  0.1628  0.8372  0.2500
Te  0.8372  0.1628  0.7500
S  0.0449  0.9551  0.1136
S  0.0449  0.9551  0.3864
S  0.2800  0.7200  0.7500
S  0.2982  0.7018  0.0835
S  0.2982  0.7018  0.4165
S  0.7018  0.2982  0.5835
S  0.7018  0.2982  0.9165
S  0.7200  0.2800  0.2500
S  0.9551  0.0449  0.6136
S  0.9551  0.0449  0.8864